For SrV2ReO8, a structure optimized by DFT (GGA+U) gives the theoretical X-ray diffraction stick pattern in this record (CuKα).

Structural model:
```
data_SrV2ReO8
_cell_length_a 5.6282
_cell_length_b 5.6282
_cell_length_c 6.8179
_cell_angle_alpha 90.00
_cell_angle_beta 90.00
_cell_angle_gamma 120.00
_space_group_name_H-M_alt 'P -3 m 1'
_space_group_IT_number 164
_space_group_name_Hall '-P 3 2"'
loop_
_atom_site_label
_atom_site_type_symbol
_atom_site_fract_x
_atom_site_fract_y
_atom_site_fract_z
Sr1 Sr 0.0000 0.0000 0.0000
V1 V 0.3333 0.6667 0.7579
Re1 Re 0.0000 0.0000 0.5000
O1 O 0.1592 0.3184 0.6802
O2 O 0.3333 0.6667 0.0036
```

Most intense lines, 15° ≤ 2θ ≤ 90°, in order of falling intensity:
| d (Å) | Position (°2θ) | intensity |
| --- | --- | --- |
| 4.874 | 18.2 | 100.0 |
| 2.794 | 32.0 | 83.7 |
| 2.814 | 31.8 | 70.6 |
| 3.965 | 22.4 | 70.1 |
| 1.983 | 45.8 | 42.8 |
| 1.621 | 56.8 | 35.7 |
| 2.170 | 41.6 | 24.5 |
| 1.458 | 63.8 | 21.1 |
| 1.257 | 75.7 | 14.8 |
| 1.842 | 49.5 | 13.5 |
| 1.778 | 51.4 | 13.3 |
| 1.625 | 56.7 | 13.1 |